Starting from a structure optimized by DFT (PBE+U), the powder diffraction line list of K3V2PbO8 was computed for Cu Kα X-rays.

Cell and atoms:
Unit cell a=6.0537 b=6.0537 c=7.7432 alpha=90.00 beta=90.00 gamma=120.00
Sites, in units of the cell vectors:
K (0.0000, 0.0000, 0.0000)
K (0.3333, 0.6667, 0.6879)
K (0.6667, 0.3333, 0.3121)
V (0.3333, 0.6667, 0.2365)
V (0.6667, 0.3333, 0.7635)
Pb (0.0000, 0.0000, 0.5000)
O (0.1743, 0.3486, 0.3133)
O (0.1743, 0.8257, 0.3133)
O (0.3333, 0.6667, 0.0199)
O (0.3486, 0.1743, 0.6867)
O (0.6514, 0.8257, 0.3133)
O (0.6667, 0.3333, 0.9801)
O (0.8257, 0.1743, 0.6867)
O (0.8257, 0.6514, 0.6867)

Top 6 peaks for 2θ from 5° to 70°, in order of rising 2θ:
11.43°, d 7.743, I 52, (0 0 1); 16.91°, d 5.243, I 38, (1 0 0); 20.46°, d 4.341, I 80, (1 0 1); 28.66°, d 3.114, I 100, (0 1 2); 29.51°, d 3.027, I 93, (1 1 0); 41.61°, d 2.171, I 52, (2 0 2)